Calculated powder XRD pattern
Compound: KThP3O10
Radiation: Cu Kα, 1.54184 Å
Structure: a GGA-PBE-relaxed structure

Cell and atoms:
Cell: 8.328 10.138 10.387 Å, 90.00 90.00 90.00°
Atoms (fractional coordinates):
K: 0.156 0.013 0.076
K: 0.344 0.987 0.576
K: 0.656 0.487 0.924
K: 0.844 0.513 0.424
Th: 0.111 0.497 0.098
Th: 0.389 0.503 0.598
Th: 0.611 0.003 0.902
Th: 0.889 0.997 0.402
P: 0.025 0.621 0.761
P: 0.198 0.271 0.374
P: 0.229 0.747 0.364
P: 0.271 0.253 0.864
P: 0.302 0.729 0.874
P: 0.475 0.379 0.261
P: 0.525 0.879 0.239
P: 0.698 0.229 0.626
P: 0.729 0.753 0.636
P: 0.771 0.247 0.136
P: 0.802 0.771 0.126
P: 0.975 0.121 0.739
O: 0.008 0.534 0.879
O: 0.096 0.557 0.642
O: 0.101 0.368 0.292
O: 0.123 0.862 0.406
O: 0.129 0.132 0.379
O: 0.130 0.750 0.798
O: 0.147 0.181 0.763
O: 0.147 0.642 0.284
O: 0.175 0.304 0.978
O: 0.241 0.326 0.506
O: 0.259 0.674 0.006
O: 0.325 0.696 0.478
O: 0.353 0.358 0.784
O: 0.353 0.819 0.263
O: 0.370 0.250 0.298
O: 0.371 0.868 0.879
O: 0.377 0.138 0.906
O: 0.399 0.632 0.792
O: 0.404 0.443 0.142
O: 0.492 0.466 0.379
O: 0.508 0.966 0.121
O: 0.596 0.943 0.358
O: 0.601 0.132 0.708
O: 0.623 0.638 0.594
O: 0.629 0.368 0.621
O: 0.630 0.750 0.202
O: 0.647 0.319 0.237
O: 0.647 0.858 0.716
O: 0.675 0.196 0.022
O: 0.741 0.174 0.494
O: 0.759 0.826 0.994
O: 0.825 0.804 0.522
O: 0.853 0.142 0.216
O: 0.853 0.681 0.737
O: 0.870 0.250 0.702
O: 0.871 0.632 0.121
O: 0.877 0.362 0.094
O: 0.899 0.868 0.208
O: 0.904 0.057 0.858
O: 0.992 0.034 0.621

The 10 most intense peaks (10° ≤ 2θ ≤ 80°), in order of rising 2θ:
- 2θ = 13.76°, intensity 65
- 2θ = 16.20°, intensity 93
- 2θ = 17.50°, intensity 29
- 2θ = 19.20°, intensity 55
- 2θ = 23.01°, intensity 33
- 2θ = 26.81°, intensity 100
- 2θ = 27.91°, intensity 37
- 2θ = 29.05°, intensity 62
- 2θ = 33.45°, intensity 28
- 2θ = 42.66°, intensity 25



Calculated powder XRD pattern
Compound: KTiP2O7
Radiation: Cu Kα, 1.54184 Å
Structure: a GGA-PBE-relaxed structure

Cell and atoms:
Cell: 7.518 10.439 8.295 Å, 90.00 106.60 90.00°
Atoms (fractional coordinates):
K: 0.181 0.176 0.059
K: 0.181 0.324 0.559
K: 0.819 0.676 0.441
K: 0.819 0.824 0.941
Ti: 0.236 0.602 0.260
Ti: 0.236 0.898 0.760
Ti: 0.764 0.102 0.240
Ti: 0.764 0.398 0.740
P: 0.133 0.598 0.826
P: 0.133 0.902 0.326
P: 0.444 0.639 0.690
P: 0.444 0.861 0.190
P: 0.556 0.139 0.810
P: 0.556 0.361 0.310
P: 0.867 0.098 0.674
P: 0.867 0.402 0.174
O: 0.004 0.004 0.224
O: 0.004 0.496 0.724
O: 0.078 0.732 0.754
O: 0.078 0.768 0.254
O: 0.150 0.591 0.014
O: 0.150 0.909 0.514
O: 0.324 0.611 0.510
O: 0.324 0.889 0.010
O: 0.339 0.564 0.810
O: 0.339 0.936 0.310
O: 0.363 0.080 0.771
O: 0.363 0.420 0.271
O: 0.456 0.719 0.238
O: 0.456 0.781 0.738
O: 0.544 0.219 0.262
O: 0.544 0.281 0.762
O: 0.637 0.580 0.729
O: 0.637 0.920 0.229
O: 0.661 0.064 0.690
O: 0.661 0.436 0.190
O: 0.676 0.111 0.990
O: 0.676 0.389 0.490
O: 0.850 0.091 0.486
O: 0.850 0.409 0.986
O: 0.922 0.232 0.746
O: 0.922 0.268 0.246
O: 0.996 0.504 0.276
O: 0.996 0.996 0.776

The 10 most intense peaks (10° ≤ 2θ ≤ 80°), in order of rising 2θ:
- 2θ = 14.94°, intensity 63
- 2θ = 22.37°, intensity 57
- 2θ = 25.47°, intensity 28
- 2θ = 28.14°, intensity 19
- 2θ = 28.49°, intensity 50
- 2θ = 29.58°, intensity 100
- 2θ = 29.86°, intensity 45
- 2θ = 34.36°, intensity 14
- 2θ = 36.90°, intensity 15
- 2θ = 51.77°, intensity 16



Calculated powder XRD pattern
Compound: KTi2P3O12
Radiation: Cu Kα, 1.54184 Å
Structure: a GGA-PBE-relaxed structure

Cell and atoms:
Cell: 9.191 9.191 9.191 Å, 55.13 55.13 55.13°
Atoms (fractional coordinates):
K: 0.000 0.000 0.000
K: 0.500 0.500 0.500
Ti: 0.149 0.149 0.149
Ti: 0.351 0.351 0.351
Ti: 0.649 0.649 0.649
Ti: 0.851 0.851 0.851
P: 0.032 0.750 0.468
P: 0.250 0.532 0.968
P: 0.468 0.032 0.750
P: 0.532 0.968 0.250
P: 0.750 0.468 0.032
P: 0.968 0.250 0.532
O: 0.010 0.752 0.647
O: 0.067 0.930 0.296
O: 0.070 0.704 0.933
O: 0.147 0.252 0.510
O: 0.204 0.570 0.433
O: 0.248 0.353 0.990
O: 0.252 0.510 0.147
O: 0.296 0.067 0.930
O: 0.353 0.990 0.248
O: 0.430 0.567 0.796
O: 0.433 0.204 0.570
O: 0.490 0.853 0.748
O: 0.510 0.147 0.252
O: 0.567 0.796 0.430
O: 0.570 0.433 0.204
O: 0.647 0.010 0.752
O: 0.704 0.933 0.070
O: 0.748 0.490 0.853
O: 0.752 0.647 0.010
O: 0.796 0.430 0.567
O: 0.853 0.748 0.490
O: 0.930 0.296 0.067
O: 0.933 0.070 0.704
O: 0.990 0.248 0.353

The 10 most intense peaks (10° ≤ 2θ ≤ 80°), in order of rising 2θ:
- 2θ = 14.22°, intensity 14
- 2θ = 19.42°, intensity 10
- 2θ = 20.89°, intensity 46
- 2θ = 23.85°, intensity 100
- 2θ = 28.67°, intensity 21
- 2θ = 31.18°, intensity 75
- 2θ = 32.38°, intensity 11
- 2θ = 36.60°, intensity 17
- 2θ = 48.82°, intensity 24
- 2θ = 57.32°, intensity 14



Calculated powder XRD pattern
Compound: K2UPO6
Radiation: Cu Kα, 1.54184 Å
Structure: a GGA-PBE-relaxed structure

Cell and atoms:
Cell: 5.568 5.568 5.568 Å, 60.00 60.00 60.00°
Atoms (fractional coordinates):
K: 0.250 0.250 0.250
K: 0.750 0.750 0.750
U: 0.000 0.000 0.000
P: 0.500 0.500 0.500
O: 0.277 0.277 0.723
O: 0.277 0.723 0.277
O: 0.277 0.723 0.723
O: 0.723 0.277 0.277
O: 0.723 0.277 0.723
O: 0.723 0.723 0.277

The 10 most intense peaks (10° ≤ 2θ ≤ 80°), in order of rising 2θ:
- 2θ = 19.53°, intensity 70
- 2θ = 22.58°, intensity 56
- 2θ = 32.15°, intensity 100
- 2θ = 37.90°, intensity 55
- 2θ = 46.11°, intensity 34
- 2θ = 50.53°, intensity 30
- 2θ = 51.93°, intensity 23
- 2θ = 57.32°, intensity 37
- 2θ = 67.26°, intensity 20
- 2θ = 76.52°, intensity 18